No. 1
For Cs5NiO4, a cell relaxed with GGA+U gives the calculated powder X-ray diffraction pattern in this record (a wavelength of 1.5418 Å).
No peak broadening, texture or thermal motion is included.

Structure:
a = 8.2013 Å, b = 9.3158 Å, c = 7.5338 Å
α = 90.00°, β = 90.00°, γ = 90.00°
Space group Pmmn (No. 59, origin choice 2)
One atom of each set of equivalent atoms:
Cs: 0.0021 0.0452 0.2425 (multiplicity 8)
Cs: 0.2500 0.2500 0.5993 (multiplicity 2)
Ni: 0.2500 0.7500 0.3435 (multiplicity 2)
O: 0.0531 0.7500 0.2085 (multiplicity 4)
O: 0.2500 0.5709 0.4752 (multiplicity 4)

Largest 10 diffraction maxima, most intense first, 2θ = 10–90°:
2θ = 29.0°, intensity 100, hkl 2 2 0; 2θ = 32.3°, intensity 77, hkl 2 0 2; 2θ = 31.2°, intensity 73, hkl 0 3 1; 2θ = 23.6°, intensity 61, hkl 0 0 2; 2θ = 37.7°, intensity 50, hkl 2 2 2; 2θ = 26.5°, intensity 47, hkl 2 1 1; 2θ = 30.5°, intensity 41, hkl 0 2 2; 2θ = 55.5°, intensity 36, hkl 2 5 1; 2θ = 51.9°, intensity 31, hkl 2 3 3; 2θ = 21.7°, intensity 30, hkl 2 0 0

***

No. 2
For Cs3NiO3, a cell relaxed with GGA+U gives the calculated powder X-ray diffraction pattern in this record (a wavelength of 1.5418 Å).
No peak broadening, texture or thermal motion is included.

Structure:
a = 8.0019 Å, b = 8.0019 Å, c = 11.0283 Å
α = 90.00°, β = 90.00°, γ = 120.00°
Space group R3m (No. 160, hexagonal axes)
One atom of each set of equivalent atoms:
Cs: 0.1689 0.3378 0.0000 (multiplicity 9)
Ni: 0.0000 0.0000 0.7717 (multiplicity 3)
O: 0.2038 0.4075 0.4613 (multiplicity 9)

Largest 10 diffraction maxima, most intense first, 2θ = 10–90°:
2θ = 27.0°, intensity 100, hkl 0 2 1; 2θ = 30.5°, intensity 88, hkl 2 0 2; 2θ = 45.3°, intensity 33, hkl 2 2 0; 2θ = 24.2°, intensity 30, hkl 0 0 3; 2θ = 20.6°, intensity 29, hkl 0 1 2; 2θ = 52.0°, intensity 25, hkl 2 2 3; 2θ = 41.9°, intensity 23, hkl 0 2 4; 2θ = 33.1°, intensity 18, hkl 1 1 3; 2θ = 53.5°, intensity 16, hkl 4 0 1; 2θ = 72.7°, intensity 14, hkl 2 4 1

***

No. 3
For Cs8Ni3O8, a cell relaxed with GGA+U gives the calculated powder X-ray diffraction pattern in this record (a wavelength of 1.5418 Å).
No peak broadening, texture or thermal motion is included.

Structure:
a = 21.1746 Å, b = 6.0505 Å, c = 8.7314 Å
α = 90.00°, β = 107.22°, γ = 90.00°
Space group C2/m (No. 12)
One atom of each set of equivalent atoms:
Cs: 0.0275 0.0000 0.2436 (multiplicity 4)
Cs: 0.1056 0.5000 0.9515 (multiplicity 4)
Cs: 0.1698 0.5000 0.4683 (multiplicity 4)
Cs: 0.1974 0.0000 0.8083 (multiplicity 4)
Ni: 0.0000 0.5000 0.5000 (multiplicity 2)
Ni: 0.1880 0.0000 0.2034 (multiplicity 4)
O: 0.0147 0.5000 0.3174 (multiplicity 4)
O: 0.1152 0.0000 0.0273 (multiplicity 4)
O: 0.1767 0.0000 0.3939 (multiplicity 4)
O: 0.2340 0.5000 0.8351 (multiplicity 4)

Largest 10 diffraction maxima, most intense first, 2θ = 10–90°:
2θ = 26.0°, intensity 100, hkl 5 1 -1; 2θ = 29.5°, intensity 87, hkl 0 2 0; 2θ = 27.4°, intensity 63, hkl 1 1 2; 2θ = 26.5°, intensity 50, hkl 5 1 0; 2θ = 25.2°, intensity 43, hkl 1 1 -2; 2θ = 24.2°, intensity 26, hkl 3 1 1; 2θ = 29.7°, intensity 23, hkl 5 1 -2; 2θ = 43.8°, intensity 21, hkl 4 2 2; 2θ = 50.3°, intensity 21, hkl 5 3 -1; 2θ = 31.6°, intensity 19, hkl 4 0 2

***

No. 4
For CsRbNiO2, a cell relaxed with GGA+U gives the calculated powder X-ray diffraction pattern in this record (a wavelength of 1.5418 Å).
No peak broadening, texture or thermal motion is included.

Structure:
a = 5.9196 Å, b = 6.9935 Å, c = 5.4973 Å
α = 90.00°, β = 90.00°, γ = 90.00°
Space group Pmma (No. 51)
One atom of each set of equivalent atoms:
Cs: 0.2500 0.0000 0.2259 (multiplicity 2)
Rb: 0.2500 0.5000 0.5034 (multiplicity 2)
Ni: 0.0000 0.5000 0.0000 (multiplicity 2)
O: 0.2500 0.3213 0.9512 (multiplicity 4)

Largest 10 diffraction maxima, most intense first, 2θ = 10–90°:
2θ = 25.5°, intensity 100, hkl 0 2 0; 2θ = 35.1°, intensity 51, hkl 0 1 2; 2θ = 22.1°, intensity 27, hkl 1 0 1; 2θ = 36.8°, intensity 27, hkl 2 1 1; 2θ = 33.9°, intensity 24, hkl 1 2 1; 2θ = 30.2°, intensity 16, hkl 2 0 0; 2θ = 43.3°, intensity 15, hkl 2 2 1; 2θ = 52.7°, intensity 15, hkl 2 3 1; 2θ = 46.9°, intensity 13, hkl 2 1 2; 2θ = 51.4°, intensity 13, hkl 0 3 2